1.
Structure and theoretical X-ray diffraction stick pattern of NaAc2Pb (a crystal structure in the Materials Project, relaxed with GGA-PBE; Cu Kα (λ = 1.5418 Å)).

Principal peaks in the range 15° ≤ 2θ ≤ 90°, low angle first:
18.44°, I = 156
21.32°, I = 118
30.33°, I = 1000
35.73°, I = 95
43.43°, I = 192
48.86°, I = 55
53.88°, I = 412
63.09°, I = 129
71.60°, I = 179
87.60°, I = 221

Structural model:
Lattice parameters (Å, degrees): 8.3354 8.3354 8.3354 90.00 90.00 90.00
Space group Fm-3m (No. 225)
Unique sites:
Na  0.0000  0.0000  0.0000
Ac  0.2500  0.2500  0.2500
Pb  0.0000  0.0000  0.5000


2.
Structure and theoretical X-ray diffraction stick pattern of Ac3Nb (a crystal structure in the Materials Project, relaxed with GGA-PBE; Cu Kα (λ = 1.5418 Å)).

Principal peaks in the range 15° ≤ 2θ ≤ 90°, low angle first:
19.07°, I = 74
29.63°, I = 1000
33.70°, I = 179
34.66°, I = 333
49.12°, I = 253
49.82°, I = 121
57.78°, I = 157
59.04°, I = 303
61.51°, I = 130
79.73°, I = 126

Structural model:
Lattice parameters (Å, degrees): 5.1764 5.1764 10.6378 90.00 90.00 90.00
Space group I4/mmm (No. 139)
Unique sites:
Ac  0.0000  0.0000  0.0000
Ac  0.0000  0.5000  0.2500
Nb  0.0000  0.0000  0.5000


3.
Structure and theoretical X-ray diffraction stick pattern of AcO (a crystal structure in the Materials Project, relaxed with GGA-PBE; Cu Kα (λ = 1.5418 Å)).

Principal peaks in the range 15° ≤ 2θ ≤ 90°, low angle first:
23.45°, I = 369
28.37°, I = 1000
31.79°, I = 229
39.88°, I = 186
41.22°, I = 339
50.79°, I = 215
52.98°, I = 328
54.56°, I = 176
67.40°, I = 192
85.17°, I = 106

Structural model:
Lattice parameters (Å, degrees): 4.3804 4.3804 5.6290 90.00 90.00 120.00
Space group P6_3mc (No. 186)
Unique sites:
Ac  0.3333  0.6667  0.0000
O  0.3333  0.6667  0.4972


4.
Structure and theoretical X-ray diffraction stick pattern of Ac2O3 (a crystal structure in the Materials Project, relaxed with GGA-PBE; Cu Kα (λ = 1.5418 Å)).

Principal peaks in the range 15° ≤ 2θ ≤ 90°, low angle first:
25.08°, I = 266
27.98°, I = 258
28.77°, I = 1000
37.92°, I = 226
44.17°, I = 295
50.00°, I = 269
53.10°, I = 276
53.58°, I = 190
71.88°, I = 163
85.57°, I = 120

Structural model:
Lattice parameters (Å, degrees): 4.1006 4.1006 6.3784 90.00 90.00 120.00
Space group P-3m1 (No. 164)
Unique sites:
Ac  0.3333  0.6667  0.2466
O  0.0000  0.0000  0.0000
O  0.3333  0.6667  0.6437


5.
Structure and theoretical X-ray diffraction stick pattern of AcScO3 (a crystal structure in the Materials Project, relaxed with GGA-PBE; Cu Kα (λ = 1.5418 Å)).

Principal peaks in the range 15° ≤ 2θ ≤ 90°, low angle first:
21.54°, I = 458
30.65°, I = 1000
37.77°, I = 316
43.90°, I = 297
49.40°, I = 238
54.49°, I = 410
63.82°, I = 186
68.20°, I = 123
72.45°, I = 179
88.74°, I = 222

Structural model:
Lattice parameters (Å, degrees): 4.1250 4.1250 4.1250 90.00 90.00 90.00
Space group Pm-3m (No. 221)
Unique sites:
Ac  0.0000  0.0000  0.0000
Sc  0.5000  0.5000  0.5000
O  0.0000  0.5000  0.5000


6.
Structure and theoretical X-ray diffraction stick pattern of AcTiO3 (a crystal structure in the Materials Project, relaxed with GGA-PBE; Cu Kα (λ = 1.5418 Å)).

Principal peaks in the range 15° ≤ 2θ ≤ 90°, low angle first:
22.14°, I = 436
31.51°, I = 1000
38.85°, I = 299
45.17°, I = 291
50.85°, I = 224
56.11°, I = 404
65.79°, I = 180
70.35°, I = 115
74.78°, I = 176
79.12°, I = 110

Structural model:
Lattice parameters (Å, degrees): 4.0148 4.0148 4.0148 90.00 90.00 90.00
Space group Pm-3m (No. 221)
Unique sites:
Ac  0.0000  0.0000  0.0000
Ti  0.5000  0.5000  0.5000
O  0.0000  0.5000  0.5000


7.
Structure and theoretical X-ray diffraction stick pattern of Ac3Pa (a crystal structure in the Materials Project, relaxed with GGA-PBE; Cu Kα (λ = 1.5418 Å)).

Principal peaks in the range 15° ≤ 2θ ≤ 90°, low angle first:
26.93°, I = 230
28.80°, I = 261
30.61°, I = 1000
39.83°, I = 166
47.57°, I = 200
52.17°, I = 233
56.56°, I = 242
57.63°, I = 171
77.87°, I = 142
83.22°, I = 104

Structural model:
Lattice parameters (Å, degrees): 7.6464 7.6464 6.2002 90.00 90.00 120.00
Space group P6_3/mmc (No. 194)
Unique sites:
Ac  0.1720  0.3440  0.2500
Pa  0.3333  0.6667  0.7500


8.
Structure and theoretical X-ray diffraction stick pattern of Ac2SiPd (a crystal structure in the Materials Project, relaxed with GGA-PBE; Cu Kα (λ = 1.5418 Å)).

Principal peaks in the range 15° ≤ 2θ ≤ 90°, low angle first:
23.15°, I = 323
32.98°, I = 1000
40.68°, I = 106
47.33°, I = 185
53.33°, I = 150
58.89°, I = 388
69.17°, I = 121
74.04°, I = 74
78.79°, I = 169
88.09°, I = 44

Structural model:
Lattice parameters (Å, degrees): 7.6826 7.6826 7.6826 90.00 90.00 90.00
Space group Fm-3m (No. 225)
Unique sites:
Ac  0.2500  0.2500  0.2500
Si  0.0000  0.0000  0.0000
Pd  0.0000  0.0000  0.5000


9.
Structure and theoretical X-ray diffraction stick pattern of AcPm3 (a crystal structure in the Materials Project, relaxed with GGA-PBE; Cu Kα (λ = 1.5418 Å)).

Principal peaks in the range 15° ≤ 2θ ≤ 90°, low angle first:
29.26°, I = 1000
33.85°, I = 171
33.95°, I = 339
48.73°, I = 372
57.76°, I = 150
57.90°, I = 297
60.69°, I = 129
78.91°, I = 122
79.03°, I = 61
81.49°, I = 113

Structural model:
Lattice parameters (Å, degrees): 5.2804 5.2804 10.5939 90.00 90.00 90.00
Space group I4/mmm (No. 139)
Unique sites:
Ac  0.0000  0.0000  0.0000
Pm  0.0000  0.0000  0.5000
Pm  0.0000  0.5000  0.2500


10.
Structure and theoretical X-ray diffraction stick pattern of Ac3Pm (a crystal structure in the Materials Project, relaxed with GGA-PBE; Cu Kα (λ = 1.5418 Å)).

Principal peaks in the range 15° ≤ 2θ ≤ 90°, low angle first:
26.25°, I = 229
27.81°, I = 264
29.78°, I = 1000
38.62°, I = 168
46.33°, I = 202
50.43°, I = 243
54.90°, I = 247
56.05°, I = 177
75.58°, I = 149
88.97°, I = 102

Structural model:
Lattice parameters (Å, degrees): 7.8389 7.8389 6.4165 90.00 90.00 120.00
Space group P6_3/mmc (No. 194)
Unique sites:
Ac  0.1685  0.3369  0.2500
Pm  0.3333  0.6667  0.7500


11.
Structure and theoretical X-ray diffraction stick pattern of AcPm3 (a crystal structure in the Materials Project, relaxed with GGA-PBE; Cu Kα (λ = 1.5418 Å)).

Principal peaks in the range 15° ≤ 2θ ≤ 90°, low angle first:
27.45°, I = 231
29.17°, I = 264
31.16°, I = 1000
40.48°, I = 165
48.52°, I = 195
52.98°, I = 236
57.62°, I = 235
58.80°, I = 168
79.61°, I = 143
81.08°, I = 89

Structural model:
Lattice parameters (Å, degrees): 7.5050 7.5050 6.1231 90.00 90.00 120.00
Space group P6_3/mmc (No. 194)
Unique sites:
Ac  0.3333  0.6667  0.2500
Pm  0.1628  0.3256  0.7500


12.
Structure and theoretical X-ray diffraction stick pattern of Ac3Pr (a crystal structure in the Materials Project, relaxed with GGA-PBE; Cu Kα (λ = 1.5418 Å)).

Principal peaks in the range 15° ≤ 2θ ≤ 90°, low angle first:
26.07°, I = 230
28.02°, I = 257
29.67°, I = 1000
38.65°, I = 166
46.00°, I = 205
50.62°, I = 233
54.73°, I = 247
55.70°, I = 176
75.03°, I = 148
88.63°, I = 101

Structural model:
Lattice parameters (Å, degrees): 7.8922 7.8922 6.3692 90.00 90.00 120.00
Space group P6_3/mmc (No. 194)
Unique sites:
Ac  0.1682  0.3363  0.2500
Pr  0.3333  0.6667  0.7500